(1)
Diffraction record for LaZr. The X-ray powder pattern is theoretical, not measured: it uses a crystal structure in OQMD, relaxed with GGA-PBE and Cu Kα X-rays.
No peak broadening, texture or thermal motion is included.

Crystal structure
Unit cell a=5.5227 b=7.0072 c=6.0093 alpha=90.00 beta=90.00 gamma=90.00
Element x y z (fractional)
La (0.0000, 0.0000, 0.0000)
La (0.0000, 0.2786, 0.5451)
La (0.0000, 0.7214, 0.5451)
La (0.5000, 0.0000, 0.3748)
Zr (0.0000, 0.5000, 0.0454)
Zr (0.5000, 0.2868, 0.8700)
Zr (0.5000, 0.5000, 0.3254)
Zr (0.5000, 0.7132, 0.8700)

Main lines, sorted by position (2θ = 15–90°):
d (Å)	2θ/deg	Rel. int.
3.517	25.32	129
3.027	29.51	262
3.005	29.73	114
2.761	32.42	430
2.654	33.77	1000
2.639	33.97	535
2.040	44.41	169
1.739	52.63	165
1.573	58.70	200
1.570	58.83	108
1.471	63.19	188
1.460	63.77	119



(2)
Diffraction record for TbAuSeO. The X-ray powder pattern is theoretical, not measured: it uses a crystal structure in OQMD, relaxed with GGA-PBE and Cu Kα X-rays.
No peak broadening, texture or thermal motion is included.

Crystal structure
Unit cell a=5.6295 b=9.5677 c=5.6457 alpha=90.00 beta=90.00 gamma=90.00
Element x y z (fractional)
Tb (0.0000, 0.1158, 0.2500)
Tb (0.0000, 0.8842, 0.7500)
Tb (0.5000, 0.1158, 0.7500)
Tb (0.5000, 0.8842, 0.2500)
Au (0.2500, 0.5000, 0.2389)
Au (0.2500, 0.5000, 0.7389)
Au (0.7500, 0.5000, 0.2611)
Au (0.7500, 0.5000, 0.7611)
Se (0.0000, 0.2784, 0.7500)
Se (0.0000, 0.7216, 0.2500)
Se (0.5000, 0.2784, 0.2500)
Se (0.5000, 0.7216, 0.7500)
O (0.2500, 0.0000, 0.0010)
O (0.2500, 0.0000, 0.5010)
O (0.7500, 0.0000, 0.4990)
O (0.7500, 0.0000, 0.9990)

Main lines, sorted by position (2θ = 15–90°):
d (Å)	2θ/deg	Rel. int.
4.784	18.55	518
3.189	27.98	416
3.062	29.16	973
2.823	31.70	1000
2.701	33.16	951
2.490	36.07	635
2.427	37.04	676
2.113	42.79	442
1.951	46.54	797
1.840	49.54	378
1.823	50.04	332
1.584	58.25	346



(3)
Diffraction record for TaAlO3. The X-ray powder pattern is theoretical, not measured: it uses a crystal structure in OQMD, relaxed with GGA-PBE and Cu Kα X-rays.
No peak broadening, texture or thermal motion is included.

Crystal structure
Unit cell a=6.0998 b=6.0998 c=6.0998 alpha=47.79 beta=47.79 gamma=47.79
Element x y z (fractional)
Ta (0.0000, 0.0000, 0.0000)
Ta (0.5000, 0.5000, 0.5000)
Al (0.2500, 0.2500, 0.2500)
Al (0.7500, 0.7500, 0.7500)
O (0.1073, 0.7500, 0.3927)
O (0.2500, 0.6073, 0.8927)
O (0.3927, 0.1073, 0.7500)
O (0.6073, 0.8927, 0.2500)
O (0.7500, 0.3927, 0.1073)
O (0.8927, 0.2500, 0.6073)

Main lines, sorted by position (2θ = 15–90°):
d (Å)	2θ/deg	Rel. int.
3.783	23.52	1000
2.939	30.41	893
2.471	36.36	450
2.069	43.76	169
1.891	48.11	285
1.828	49.89	228
1.822	50.08	335
1.586	58.16	164
1.502	61.77	252
1.470	63.28	125
1.427	65.42	144
1.263	75.23	142



(4)
Diffraction record for PrNdPd2. The X-ray powder pattern is theoretical, not measured: it uses a crystal structure in OQMD, relaxed with GGA-PBE and Cu Kα X-rays.
No peak broadening, texture or thermal motion is included.

Crystal structure
Unit cell a=4.6571 b=3.8760 c=10.9114 alpha=90.00 beta=90.00 gamma=90.00
Element x y z (fractional)
Pr (0.0000, 0.0000, 0.0000)
Pr (0.0000, 0.5000, 0.5000)
Nd (0.5000, 0.0000, 0.7265)
Nd (0.5000, 0.5000, 0.2265)
Pd (0.0000, 0.0000, 0.2766)
Pd (0.0000, 0.5000, 0.7766)
Pd (0.5000, 0.0000, 0.4497)
Pd (0.5000, 0.5000, 0.9497)

Main lines, sorted by position (2θ = 15–90°):
d (Å)	2θ/deg	Rel. int.
2.874	31.12	1000
2.728	32.83	316
2.652	33.80	193
2.354	38.24	180
2.329	38.67	324
2.305	39.08	677
1.938	46.88	186
1.771	51.61	175
1.580	58.41	120
1.490	62.33	157
1.307	72.27	126
1.229	77.73	130



(5)
Diffraction record for PmAgTeO. The X-ray powder pattern is theoretical, not measured: it uses a crystal structure in OQMD, relaxed with GGA-PBE and Cu Kα X-rays.
No peak broadening, texture or thermal motion is included.

Crystal structure
Unit cell a=5.8578 b=5.8578 c=9.9457 alpha=90.00 beta=90.00 gamma=90.00
Element x y z (fractional)
Pm (0.0000, 0.0000, 0.0000)
Pm (0.0000, 0.5000, 0.2243)
Pm (0.5000, 0.0000, 0.2243)
Pm (0.5000, 0.5000, 0.0000)
Ag (0.2454, 0.2546, 0.6121)
Ag (0.2546, 0.7546, 0.6121)
Ag (0.7454, 0.2454, 0.6121)
Ag (0.7546, 0.7454, 0.6121)
Te (0.0000, 0.0000, 0.4067)
Te (0.0000, 0.5000, 0.8177)
Te (0.5000, 0.0000, 0.8177)
Te (0.5000, 0.5000, 0.4067)
O (0.2496, 0.2504, 0.1121)
O (0.2504, 0.7504, 0.1121)
O (0.7496, 0.2496, 0.1121)
O (0.7504, 0.7496, 0.1121)

Main lines, sorted by position (2θ = 15–90°):
d (Å)	2θ/deg	Rel. int.
3.183	28.04	1000
2.929	30.52	178
2.810	31.85	486
2.588	34.66	560
2.524	35.57	532
2.071	43.71	532
1.989	45.61	187
1.895	48.00	229
1.736	52.73	345
1.617	56.94	268
1.464	63.53	169
1.435	65.01	257



(6)
Diffraction record for Y4Hf2Sn3C3. The X-ray powder pattern is theoretical, not measured: it uses a crystal structure in OQMD, relaxed with GGA-PBE and Cu Kα X-rays.
No peak broadening, texture or thermal motion is included.

Crystal structure
Unit cell a=6.1338 b=6.1338 c=15.5672 alpha=101.53 beta=101.53 gamma=60.16
Element x y z (fractional)
Y (0.0366, 0.1914, 0.0913)
Y (0.1293, 0.3034, 0.4087)
Y (0.1914, 0.0366, 0.5913)
Y (0.3034, 0.1293, 0.9087)
Y (0.6966, 0.8707, 0.0913)
Y (0.8086, 0.9634, 0.4087)
Y (0.8707, 0.6966, 0.5913)
Y (0.9634, 0.8086, 0.9087)
Hf (0.3528, 0.5251, 0.0755)
Hf (0.4749, 0.6472, 0.4245)
Hf (0.5251, 0.3528, 0.5755)
Hf (0.6472, 0.4749, 0.9245)
Sn (0.1256, 0.8744, 0.2500)
Sn (0.2889, 0.4181, 0.7517)
Sn (0.4181, 0.2889, 0.2517)
Sn (0.5819, 0.7111, 0.7483)
Sn (0.7111, 0.5819, 0.2483)
Sn (0.8744, 0.1256, 0.7500)
C (0.0000, 0.5000, 0.0000)
C (0.1964, 0.6518, 0.5000)
C (0.3482, 0.8036, 0.0000)
C (0.5000, 0.0000, 0.5000)
C (0.6518, 0.1964, 0.0000)
C (0.8036, 0.3482, 0.5000)

Main lines, sorted by position (2θ = 15–90°):
d (Å)	2θ/deg	Rel. int.
5.283	16.78	103
3.069	29.09	339
2.625	34.15	1000
2.617	34.26	481
2.524	35.56	279
1.952	46.53	148
1.774	51.53	201
1.769	51.67	100
1.477	62.94	158
1.452	64.13	139
1.450	64.24	86
1.132	85.86	111